# TaTcTe4
Theoretical powder XRD pattern, Cu Kα, 1.54184 Å. Input: DFT lattice parameters and positions (GGA-PBE).
No peak broadening, texture or thermal motion is included.

Unit cell a=14.768 b=3.619 c=6.391 alpha=90.00 beta=108.79 gamma=90.00
Space group Cm (No. 8)
Unique sites:
Ta: 0.000 0.000 0.000 x2
Tc: 0.016 0.500 0.373 x2
Te: 0.109 0.500 0.830 x2
Te: 0.153 0.000 0.379 x2
Te: 0.359 0.000 0.000 x2
Te: 0.408 0.500 0.526 x2

The 10 most intense peaks (2θ = 10–90°), in order of rising 2θ:
Position (°2θ)  intensity  index
12.7  77  2 0 0
29.5  27  0 0 2
31.9  100  3 1 -1
35.9  25  2 0 2
37.4  20  3 1 1
39.6  15  5 1 -1
41.0  15  1 1 2
47.2  25  5 1 1
49.4  19  8 0 -1
50.4  27  0 2 0